Computed powder XRD pattern of K2SrCdCl6 for Cu Kα (λ = 1.5418 Å), from a GGA-PBE-relaxed structure.

Structural model:
a = 7.6377 Å, b = 7.6377 Å, c = 5.7780 Å
α = 90.00°, β = 90.00°, γ = 90.00°
Fractional positions:
1 K 0.0000 0.5000 0.0000
2 K 0.5000 0.0000 0.0000
3 Sr 0.0000 0.0000 0.6128
4 Cd 0.5000 0.5000 0.5875
5 Cl 0.0000 0.0000 0.1227
6 Cl 0.2617 0.2617 0.6799
7 Cl 0.2617 0.7383 0.6799
8 Cl 0.5000 0.5000 0.1524
9 Cl 0.7383 0.2617 0.6799
10 Cl 0.7383 0.7383 0.6799

Largest 10 diffraction maxima, sorted by position, 2θ from 10° to 90°:
(0 0 1), 15.34°, intensity 65
(1 1 0), 16.41°, intensity 87
(1 1 1), 22.54°, intensity 95
(2 0 0), 23.29°, intensity 45
(0 0 2), 30.95°, intensity 34
(2 2 0), 33.18°, intensity 100
(1 1 2), 35.23°, intensity 46
(2 0 2), 39.10°, intensity 37
(3 1 1), 40.48°, intensity 40
(2 2 2), 46.01°, intensity 41